# TaBe
Simulated X-ray powder pattern, λ = 1.5418 Å (Cu Kα). Input: a cell relaxed with GGA-PBE.

Structural model:
```
TaBe
1.0
-1.745 4.516 2.571
1.745 -4.516 2.571
1.745 4.516 -2.571
Ta Be
3 3
direct
0.000 0.000 0.000
0.563 0.261 0.302
0.959 0.261 0.698
0.168 0.781 0.387
0.395 0.781 0.613
0.499 0.499 0.000
```

Top 6 peaks for 2θ = 5–70°, sorted by position:
| 2θ (°) | I/Imax |
| --- | --- |
| 19.87 | 84 |
| 30.97 | 95 |
| 34.52 | 54 |
| 36.95 | 100 |
| 39.53 | 84 |
| 40.37 | 72 |